Structure and calculated powder diffraction line list of NaLiB (a cell relaxed with PBE; Cu Kα, 1.54184 Å).
Lines closer than 0.1° are merged.

Peak list (10 most intense, 15 to 90 degrees two-theta, most intense first)
2.727 Å, 32.84°, I = 1000, (1 2 1)
3.117 Å, 28.64°, I = 801, (1 0 1)
2.840 Å, 31.50°, I = 409, (1 3 0)
2.081 Å, 43.48°, I = 386, (0 2 2)
2.878 Å, 31.08°, I = 381, (0 3 1)
2.170 Å, 41.61°, I = 339, (2 0 0)
2.000 Å, 45.35°, I = 281, (1 5 0)
4.162 Å, 21.35°, I = 267, (0 1 1)
1.502 Å, 61.76°, I = 243, (2 2 2)
5.633 Å, 15.73°, I = 240, (0 2 0)

Atomic structure:
a b c (Å): 4.3407 11.2668 4.4792
angles (deg): 90.00 90.00 90.00
Space group Imm2 (No. 44)
Asymmetric unit:
Na: 0.0000 0.2094 0.0000 [4 per cell]
Li: 0.0000 0.0000 0.6602 [2 per cell]
Li: 0.0000 0.5000 0.7318 [2 per cell]
B: 0.0000 0.4319 0.2380 [4 per cell]